(1)
This entry pairs a crystal structure of Mn2S3O12 with its theoretical powder diffractogram. Radiation: Cu Ka. Structure: a GGA+U-relaxed structure.
No peak broadening, texture or thermal motion is included.

Top 10 peaks for 2θ = 10–90°, in order of falling intensity:
2θ (°)	d/Å	I_rel
31.0	2.888	100
24.2	3.673	90
19.2	4.615	87
25.2	3.530	81
23.8	3.736	64
22.2	4.007	56
14.2	6.248	46
31.6	2.832	36
28.6	3.124	35
26.5	3.365	30

Structural model:
```
34
Lattice="6.9178 -4.2450 0.0000 6.9178 4.2450 0.0000 -5.0489 0.0000 7.8682" Properties=species:S:1:pos:R:3 pbc="T T T"
Mn 0.5875 2.1594 7.4718
Mn 5.6746 2.1594 4.3305
Mn 3.1120 -2.1594 3.5377
Mn 8.1991 -2.1594 0.3964
S 3.1311 4.0594 5.9012
S 3.1773 0.8914 2.7049
S 0.6529 -0.8914 6.6390
S 8.1337 0.8914 1.2293
S 5.6093 -0.8914 5.1634
S 5.6555 -4.0594 1.9671
O -3.2291 0.6712 7.0026
O 2.0152 3.2568 6.4030
O 2.9297 1.5558 1.3727
O -0.7046 -0.6712 3.0685
O 4.2469 3.2568 5.3993
O 2.2872 1.2762 3.7560
O 0.6148 0.5866 6.3057
O 4.6339 1.2162 2.9836
O 6.6772 1.2162 0.9505
O 3.1393 -0.5866 2.3716
O 0.4052 -1.5558 5.3068
O -0.2373 -1.2762 7.6901
O 9.0238 1.2762 0.1781
O 8.3814 1.5558 2.5614
O 5.6473 0.5866 5.4967
O 2.1094 -1.2162 6.9177
O 4.1527 -1.2162 4.8846
O 8.1718 -0.5866 1.5625
O 6.4994 -1.2762 4.1122
O 4.5396 -3.2568 2.4689
O 9.4912 0.6712 4.7997
O 5.8569 -1.5558 6.4955
O 6.7714 -3.2568 1.4652
O 12.0157 -0.6712 0.8656
```


(2)
This entry pairs a crystal structure of Mn2S3O12 with its theoretical powder diffractogram. Radiation: Cu Ka. Structure: a GGA+U-relaxed structure.
No peak broadening, texture or thermal motion is included.

Top 10 peaks for 2θ = 10–90°, in order of falling intensity:
2θ (°)	d/Å	I_rel
24.4	3.655	100
31.5	2.837	60
14.5	6.111	60
19.6	4.530	41
29.2	3.056	36
51.6	1.770	16
49.9	1.828	15
46.4	1.959	15
37.6	2.389	14
61.2	1.514	12

Structural model:
```
34
Lattice="4.1387 2.3895 7.7936 -4.1387 2.3895 7.7936 0.0000 -4.7790 7.7936" Properties=species:S:1:pos:R:3 pbc="T T T"
Mn 0.0000 0.0000 3.3565
Mn 0.0000 0.0000 7.9902
Mn 0.0000 0.0000 15.3906
Mn 0.0000 0.0000 20.0243
S -1.7025 -2.2807 9.6694
S -2.8264 0.3340 13.7114
S -1.1239 2.6147 9.6694
S 1.1239 -2.6147 13.7114
S 2.8264 -0.3340 9.6694
S 1.7025 2.2807 13.7114
O -2.4143 -2.0859 10.9287
O -0.5438 -3.1610 9.7825
O -3.0094 -1.1096 13.5983
O -1.5282 0.5834 6.9433
O -1.3219 -0.9180 9.1708
O 0.2589 -1.6152 6.9433
O -3.0136 1.0479 12.4521
O -2.4656 2.0514 9.7825
O 0.5993 -3.1338 12.4521
O -1.2693 -1.0318 16.4375
O -1.4560 0.6858 14.2100
O -0.1341 1.6038 9.1708
O 0.1341 -1.6038 14.2100
O 1.4560 -0.6858 9.1708
O 1.2693 1.0318 6.9433
O -0.5993 3.1338 10.9287
O 2.4656 -2.0514 13.5983
O 3.0136 -1.0479 10.9287
O -0.2589 1.6152 16.4375
O 1.3219 0.9180 14.2100
O 1.5282 -0.5834 16.4375
O 3.0094 1.1096 9.7825
O 0.5438 3.1610 13.5983
O 2.4143 2.0859 12.4521
```


(3)
This entry pairs a crystal structure of Mn3SO with its theoretical powder diffractogram. Radiation: Cu Ka. Structure: a GGA+U-relaxed structure.
No peak broadening, texture or thermal motion is included.

Top 10 peaks for 2θ = 10–90°, in order of falling intensity:
2θ (°)	d/Å	I_rel
34.7	2.582	100
45.0	2.015	38
54.6	1.682	24
58.9	1.568	19
32.1	2.791	15
23.8	3.743	13
50.6	1.804	11
66.3	1.409	10
64.7	1.440	7
73.3	1.291	7

Structural model:
```
10
Lattice="5.8252 0.0000 0.0000 -2.9126 5.0448 0.0000 0.0000 0.0000 5.5816" Properties=species:S:1:pos:R:3 pbc="T T T"
Mn -0.8782 1.5210 0.0000
Mn -2.0344 3.5237 2.7908
Mn 1.7563 0.0000 0.0000
Mn 0.8782 1.5210 2.7908
Mn 4.0689 0.0000 2.7908
Mn 2.0344 3.5237 0.0000
S 0.0000 3.3632 4.1862
S 2.9126 1.6816 1.3954
O 0.0000 0.0000 1.3954
O 0.0000 0.0000 4.1862
```


(4)
This entry pairs a crystal structure of Y2Mn2S2O5 with its theoretical powder diffractogram. Radiation: Cu Ka. Structure: a GGA+U-relaxed structure.
No peak broadening, texture or thermal motion is included.

Top 10 peaks for 2θ = 10–90°, in order of falling intensity:
2θ (°)	d/Å	I_rel
36.0	2.493	100
26.1	3.409	79
33.3	2.688	78
15.3	5.781	76
47.9	1.901	53
61.3	1.512	39
42.5	2.129	34
55.3	1.660	19
46.1	1.968	18
65.9	1.418	17

Structural model:
```
11
Lattice="-1.9006 1.9006 11.5624 1.9006 -1.9006 11.5624 1.9006 1.9006 -11.5624" Properties=species:S:1:pos:R:3 pbc="T T T"
Y 0.0000 0.0000 3.7381
Y 0.0000 0.0000 19.3867
Mn 0.0000 0.0000 9.7402
Mn 0.0000 0.0000 13.3846
S 0.0000 0.0000 6.7650
S 0.0000 0.0000 16.3598
O 1.9006 0.0000 2.3508
O 1.9006 0.0000 9.2116
O 0.0000 0.0000 11.5624
O 0.0000 1.9006 2.3508
O 0.0000 1.9006 9.2116
```